No. 1
Calculated XRD peak list
Compound: Hg4PSeCl2
Radiation: Cu Kα X-rays
Structure: a structure optimized by DFT (PBE)

Structural model:
Lattice parameters (Å, degrees): 7.8833 7.9754 13.1175 90.00 90.00 90.00
Space group Imma (No. 74)
Asymmetric unit:
Hg (0.0000, 0.0173, 0.2343) (multiplicity 8)
Hg (0.2409, 0.2500, 0.0454) (multiplicity 8)
P (0.2500, 0.2500, 0.2500) (multiplicity 4)
Se (0.0000, 0.0000, 0.0000) (multiplicity 4)
Cl (0.0000, 0.0000, 0.5000) (multiplicity 4)
Cl (0.2500, 0.2500, 0.7500) (multiplicity 4)

Top 10 peaks for 2θ from 10° to 90°, in order of rising 2θ:
d = 6.815 Å, I = 19.2
d = 3.407 Å, I = 50.5
d = 3.378 Å, I = 49.4
d = 3.279 Å, I = 41.5
d = 2.803 Å, I = 100.0
d = 2.748 Å, I = 24.2
d = 2.131 Å, I = 48.7
d = 1.971 Å, I = 20.8
d = 1.705 Å, I = 25.9
d = 1.688 Å, I = 24.1

No. 2
Calculated XRD peak list
Compound: PaTlHgCl6
Radiation: Cu Kα X-rays
Structure: a structure optimized by DFT (PBE)

Structural model:
Lattice parameters (Å, degrees): 7.9762 7.9762 14.8698 90.00 90.00 120.00
Space group P-31c (No. 163)
Asymmetric unit:
Pa (0.3333, 0.6667, 0.2500) (multiplicity 2)
Tl (0.3333, 0.6667, 0.7500) (multiplicity 2)
Hg (0.0000, 0.0000, 0.0000) (multiplicity 2)
Cl (0.0640, 0.4096, 0.1510) (multiplicity 12)

Top 10 peaks for 2θ from 10° to 90°, in order of rising 2θ:
d = 7.435 Å, I = 20.2
d = 5.061 Å, I = 100.0
d = 3.988 Å, I = 45.7
d = 3.514 Å, I = 14.7
d = 3.132 Å, I = 27.3
d = 2.719 Å, I = 58.9
d = 2.463 Å, I = 31.5
d = 2.303 Å, I = 20.2
d = 1.856 Å, I = 18.0
d = 1.757 Å, I = 15.6

No. 3
Calculated XRD peak list
Compound: HgPb2Cl6
Radiation: Cu Kα X-rays
Structure: a structure optimized by DFT (PBE)

Structural model:
Lattice parameters (Å, degrees): 6.6744 6.6744 12.9686 90.00 90.00 90.00
Space group P4_2/mnm (No. 136)
Asymmetric unit:
Hg (0.0000, 0.0000, 0.0000) (multiplicity 2)
Pb (0.0000, 0.0000, 0.3346) (multiplicity 4)
Cl (0.1904, 0.1904, 0.1557) (multiplicity 8)
Cl (0.2057, 0.2057, 0.5000) (multiplicity 4)

Top 10 peaks for 2θ from 10° to 90°, in order of rising 2θ:
d = 4.719 Å, I = 100.0
d = 3.628 Å, I = 75.5
d = 3.337 Å, I = 20.4
d = 2.456 Å, I = 85.2
d = 2.360 Å, I = 23.4
d = 2.111 Å, I = 19.2
d = 1.978 Å, I = 31.2
d = 1.965 Å, I = 20.2
d = 1.702 Å, I = 15.4
d = 1.516 Å, I = 16.1

No. 4
Calculated XRD peak list
Compound: HgPb4Cl8
Radiation: Cu Kα X-rays
Structure: a structure optimized by DFT (PBE)

Structural model:
Lattice parameters (Å, degrees): 20.7679 4.3959 14.1763 90.00 131.12 90.00
Space group Cm (No. 8)
Asymmetric unit:
Hg (0.0000, 0.0000, 0.0000) (multiplicity 2)
Pb (0.1441, 0.0000, 0.4646) (multiplicity 2)
Pb (0.1598, 0.5000, 0.8213) (multiplicity 2)
Pb (0.3396, 0.0000, 0.1767) (multiplicity 2)
Pb (0.3552, 0.5000, 0.5334) (multiplicity 2)
Cl (0.0408, 0.0000, 0.7428) (multiplicity 2)
Cl (0.1353, 0.5000, 0.5920) (multiplicity 2)
Cl (0.1691, 0.5000, 0.3541) (multiplicity 2)
Cl (0.2158, 0.5000, 0.0710) (multiplicity 2)
Cl (0.2837, 0.0000, 0.9271) (multiplicity 2)
Cl (0.3303, 0.0000, 0.6440) (multiplicity 2)
Cl (0.3639, 0.0000, 0.4058) (multiplicity 2)
Cl (0.4586, 0.5000, 0.2550) (multiplicity 2)

Top 10 peaks for 2θ from 10° to 90°, in order of rising 2θ:
d = 7.084 Å, I = 37.3
d = 4.842 Å, I = 73.9
d = 4.563 Å, I = 77.6
d = 4.480 Å, I = 38.8
d = 3.684 Å, I = 100.0
d = 3.648 Å, I = 52.8
d = 2.704 Å, I = 70.5
d = 2.378 Å, I = 66.6
d = 2.198 Å, I = 41.2
d = 2.096 Å, I = 64.2

No. 5
Calculated XRD peak list
Compound: HgPb6Cl12
Radiation: Cu Kα X-rays
Structure: a structure optimized by DFT (PBE)

Structural model:
Lattice parameters (Å, degrees): 14.6285 14.6285 10.3719 90.00 90.00 120.00
Space group R-3 (No. 148, hexagonal axes)
Asymmetric unit:
Hg (0.0000, 0.0000, 0.0000) (multiplicity 3)
Pb (0.0848, 0.5079, 0.3127) (multiplicity 18)
Cl (0.0291, 0.2714, 0.9041) (multiplicity 18)
Cl (0.0743, 0.1939, 0.3660) (multiplicity 18)

Top 10 peaks for 2θ from 10° to 90°, in order of rising 2θ:
d = 4.347 Å, I = 100.0
d = 3.518 Å, I = 38.2
d = 3.457 Å, I = 24.8
d = 2.765 Å, I = 27.8
d = 2.461 Å, I = 11.8
d = 2.438 Å, I = 10.5
d = 2.333 Å, I = 11.3
d = 2.279 Å, I = 35.7
d = 2.159 Å, I = 21.5
d = 1.992 Å, I = 11.6

No. 6
Calculated XRD peak list
Compound: HgPb2Cl6
Radiation: Cu Kα X-rays
Structure: a structure optimized by DFT (PBE)

Structural model:
Lattice parameters (Å, degrees): 6.6835 7.1306 12.8222 90.00 90.00 90.00
Space group Pnnm (No. 58)
Asymmetric unit:
Hg (0.0000, 0.0000, 0.0000) (multiplicity 2)
Pb (0.0000, 0.5000, 0.1904) (multiplicity 4)
Cl (0.1964, 0.2886, 0.0000) (multiplicity 4)
Cl (0.2422, 0.3240, 0.3381) (multiplicity 8)

Top 10 peaks for 2θ from 10° to 90°, in order of rising 2θ:
d = 5.927 Å, I = 74.3
d = 3.881 Å, I = 100.0
d = 3.666 Å, I = 41.2
d = 3.055 Å, I = 24.7
d = 2.470 Å, I = 53.4
d = 2.438 Å, I = 34.1
d = 2.394 Å, I = 22.1
d = 2.077 Å, I = 21.8
d = 1.988 Å, I = 22.9
d = 1.521 Å, I = 30.3

No. 7
Calculated XRD peak list
Compound: HgPb2Cl2
Radiation: Cu Kα X-rays
Structure: a structure optimized by DFT (PBE)

Structural model:
Lattice parameters (Å, degrees): 5.9024 5.9024 9.6221 90.00 90.00 90.00
Space group I4/mmm (No. 139)
Asymmetric unit:
Hg (0.0000, 0.0000, 0.0000) (multiplicity 2)
Pb (0.0000, 0.0000, 0.3187) (multiplicity 4)
Cl (0.0000, 0.5000, 0.2500) (multiplicity 4)

Top 10 peaks for 2θ from 10° to 90°, in order of rising 2θ:
d = 4.174 Å, I = 100.0
d = 2.951 Å, I = 70.6
d = 2.818 Å, I = 94.8
d = 2.087 Å, I = 27.2
d = 2.038 Å, I = 76.7
d = 1.866 Å, I = 28.0
d = 1.677 Å, I = 21.0
d = 1.458 Å, I = 26.7
d = 1.307 Å, I = 18.8
d = 1.108 Å, I = 17.9

Repeat the second record exactly.
Calculated XRD peak list
Compound: PaTlHgCl6
Radiation: Cu Kα X-rays
Structure: a structure optimized by DFT (PBE)

Structural model:
Lattice parameters (Å, degrees): 7.9762 7.9762 14.8698 90.00 90.00 120.00
Space group P-31c (No. 163)
Asymmetric unit:
Pa (0.3333, 0.6667, 0.2500) (multiplicity 2)
Tl (0.3333, 0.6667, 0.7500) (multiplicity 2)
Hg (0.0000, 0.0000, 0.0000) (multiplicity 2)
Cl (0.0640, 0.4096, 0.1510) (multiplicity 12)

Top 10 peaks for 2θ from 10° to 90°, in order of rising 2θ:
d = 7.435 Å, I = 20.2
d = 5.061 Å, I = 100.0
d = 3.988 Å, I = 45.7
d = 3.514 Å, I = 14.7
d = 3.132 Å, I = 27.3
d = 2.719 Å, I = 58.9
d = 2.463 Å, I = 31.5
d = 2.303 Å, I = 20.2
d = 1.856 Å, I = 18.0
d = 1.757 Å, I = 15.6